The following is a theoretical X-ray diffraction stick pattern of Sr2UTe4. It was derived from the GGA-PBE geometry in Alexandria, using Cu Kα (λ = 1.5418 Å).

Cell and atoms:
Lattice parameters (Å, degrees): 8.2684 13.6995 4.6709 90.00 90.00 90.00
Space group Pbam (No. 55)
Asymmetric unit:
1 Sr 0.0940 0.1827 0.0000 [4 per cell]
2 U 0.0000 0.5000 0.5000 [2 per cell]
3 Te 0.1251 0.7081 0.5000 [4 per cell]
4 Te 0.2364 0.4521 0.0000 [4 per cell]

Largest 10 diffraction maxima, in order of rising 2θ, 10° ≤ 2θ ≤ 90°:
- 2θ = 12.5°, rel. 100, hkl 1 1 0
- 2θ = 22.8°, rel. 95, hkl 1 1 1
- 2θ = 28.2°, rel. 68, hkl 1 4 0
- 2θ = 28.8°, rel. 45, hkl 2 0 1
- 2θ = 29.6°, rel. 83, hkl 2 1 1
- 2θ = 31.7°, rel. 96, hkl 2 2 1
- 2θ = 38.5°, rel. 64, hkl 0 0 2
- 2θ = 39.7°, rel. 64, hkl 1 5 1
- 2θ = 45.9°, rel. 40, hkl 4 2 0
- 2θ = 61.4°, rel. 43, hkl 4 2 2